Calculated XRD peak list
Compound: KTmMo2O8
Radiation: CuKα
Structure: the GGA+U geometry in the Materials Project

Peak list (10 most intense, 2θ = 5–70°, most intense first)
| 2theta | intensity |
| --- | --- |
| 9.60 | 100 |
| 28.70 | 76 |
| 29.91 | 40 |
| 22.66 | 36 |
| 29.49 | 30 |
| 46.57 | 28 |
| 51.87 | 15 |
| 53.32 | 14 |
| 55.08 | 13 |
| 35.21 | 9 |

Structural model:
a = 5.0983 Å, b = 18.4329 Å, c = 8.0373 Å
α = 90.00°, β = 90.00°, γ = 90.00°
Atoms (fractional coordinates):
K: 0.0000 0.2299 0.2500
K: 0.0000 0.7701 0.7500
K: 0.5000 0.2701 0.7500
K: 0.5000 0.7299 0.2500
Tm: 0.0000 0.0059 0.7500
Tm: 0.0000 0.9941 0.2500
Tm: 0.5000 0.4941 0.2500
Tm: 0.5000 0.5059 0.7500
Mo: 0.0225 0.3995 0.5160
Mo: 0.0225 0.6005 0.0160
Mo: 0.4775 0.1005 0.0160
Mo: 0.4775 0.8995 0.5160
Mo: 0.5225 0.1005 0.4840
Mo: 0.5225 0.8995 0.9840
Mo: 0.9775 0.3995 0.9840
Mo: 0.9775 0.6005 0.4840
O: 0.1019 0.3107 0.9748
O: 0.1019 0.6893 0.4748
O: 0.2338 0.4018 0.3368
O: 0.2338 0.5982 0.8368
O: 0.2455 0.0345 0.5052
O: 0.2455 0.9655 0.0052
O: 0.2470 0.4083 0.6910
O: 0.2470 0.5917 0.1910
O: 0.2530 0.0917 0.1910
O: 0.2530 0.9083 0.6910
O: 0.2545 0.4655 0.0052
O: 0.2545 0.5345 0.5052
O: 0.2662 0.0982 0.8368
O: 0.2662 0.9018 0.3368
O: 0.3981 0.1893 0.4748
O: 0.3981 0.8107 0.9748
O: 0.6019 0.1893 0.0252
O: 0.6019 0.8107 0.5252
O: 0.7338 0.0982 0.6632
O: 0.7338 0.9018 0.1632
O: 0.7455 0.4655 0.4948
O: 0.7455 0.5345 0.9948
O: 0.7470 0.0917 0.3090
O: 0.7470 0.9083 0.8090
O: 0.7530 0.4083 0.8090
O: 0.7530 0.5917 0.3090
O: 0.7545 0.0345 0.9948
O: 0.7545 0.9655 0.4948
O: 0.7662 0.4018 0.1632
O: 0.7662 0.5982 0.6632
O: 0.8981 0.3107 0.5252
O: 0.8981 0.6893 0.0252


Calculated XRD peak list
Compound: Na6MnNi3Sb2O12
Radiation: CuKα
Structure: the GGA+U geometry in the Materials Project

Peak list (10 most intense, 2θ = 5–70°, most intense first)
| 2theta | intensity |
| --- | --- |
| 40.01 | 100 |
| 16.34 | 81 |
| 34.94 | 44 |
| 56.60 | 30 |
| 33.56 | 28 |
| 33.02 | 19 |
| 59.10 | 19 |
| 51.84 | 14 |
| 69.41 | 14 |
| 61.78 | 12 |

Structural model:
a = 5.4161 Å, b = 9.3704 Å, c = 5.7168 Å
α = 90.00°, β = 108.39°, γ = 90.00°
Atoms (fractional coordinates):
Na: 0.0000 0.0000 0.0000
Na: 0.0000 0.3239 0.0000
Na: 0.0000 0.6510 0.0000
Na: 0.5000 0.1509 0.0000
Na: 0.5000 0.4975 0.0000
Na: 0.5000 0.8270 0.0000
Mn: 0.5000 0.6592 0.5000
Ni: 0.0000 0.1591 0.5000
Ni: 0.0000 0.4902 0.5000
Ni: 0.5000 0.9930 0.5000
Sb: 0.0000 0.8284 0.5000
Sb: 0.5000 0.3222 0.5000
O: 0.2171 0.6678 0.7084
O: 0.2288 0.9851 0.7024
O: 0.2427 0.8308 0.2930
O: 0.2504 0.3251 0.7016
O: 0.2693 0.4777 0.2923
O: 0.2736 0.1649 0.2976
O: 0.7264 0.1649 0.7024
O: 0.7307 0.4777 0.7077
O: 0.7496 0.3251 0.2984
O: 0.7573 0.8308 0.7070
O: 0.7712 0.9851 0.2976
O: 0.7829 0.6678 0.2916


Calculated XRD peak list
Compound: Li4Mn5Nb3O16
Radiation: CuKα
Structure: the GGA+U geometry in the Materials Project

Peak list (10 most intense, 2θ = 5–70°, most intense first)
| 2theta | intensity |
| --- | --- |
| 17.80 | 100 |
| 18.91 | 71 |
| 43.60 | 33 |
| 34.75 | 28 |
| 34.32 | 26 |
| 57.91 | 24 |
| 34.97 | 24 |
| 31.80 | 23 |
| 24.50 | 22 |
| 38.33 | 20 |

Structural model:
a = 6.1379 Å, b = 6.1564 Å, c = 9.9639 Å
α = 90.33°, β = 90.12°, γ = 119.56°
Atoms (fractional coordinates):
Li: 0.0000 0.0000 0.0000
Li: 0.0169 0.0059 0.4906
Li: 0.3416 0.6753 0.8904
Li: 0.6720 0.3409 0.3717
Mn: 0.1606 0.8288 0.2076
Mn: 0.1621 0.3342 0.2110
Mn: 0.3074 0.6542 0.4861
Mn: 0.3318 0.1674 0.7131
Mn: 0.6486 0.3243 0.0064
Nb: 0.6485 0.8288 0.2139
Nb: 0.8241 0.6593 0.7102
Nb: 0.8255 0.1670 0.7100
O: 0.0404 0.5273 0.3161
O: 0.1408 0.3076 0.6003
O: 0.1434 0.8351 0.6034
O: 0.2997 0.1459 0.1084
O: 0.3548 0.6986 0.0915
O: 0.4759 0.5135 0.3221
O: 0.4896 0.9704 0.3284
O: 0.5277 0.4936 0.8264
O: 0.5311 0.0410 0.8266
O: 0.6807 0.8412 0.5982
O: 0.6941 0.3496 0.5925
O: 0.8351 0.6829 0.0979
O: 0.8444 0.1579 0.1048
O: 0.9709 0.9870 0.8164
O: 0.9739 0.4876 0.8192
O: 0.9816 0.9680 0.3113